Structure and computed powder diffractogram of Er3Mn3Ga2Ge (a crystal structure in Alexandria, relaxed with GGA-PBE; Cu Kα).
Lines closer than 0.1° are merged.

Top 10 peaks for 2θ from 15° to 90°, in order of rising 2θ:
2θ = 25.50°, I 20, (1 1 0)
2θ = 29.53°, I 24, (2 0 0)
2θ = 33.76°, I 100, (1 1 1)
2θ = 36.98°, I 100, (2 0 1)
2θ = 39.40°, I 40, (1 2 0)
2θ = 44.37°, I 27, (0 0 2)
2θ = 54.69°, I 20, (3 1 0)
2θ = 59.56°, I 33, (3 1 1)
2θ = 60.82°, I 22, (1 2 2)
2θ = 71.83°, I 19, (2 3 1)

Cell and atoms:
a b c (Å): 6.987 6.987 4.084
angles (deg): 90.00 90.00 120.00
Element x y z (fractional)
Er1 0.084 0.335 0.000
Er2 0.251 0.916 0.000
Er3 0.665 0.749 0.000
Mn1 0.436 0.337 0.500
Mn2 0.663 0.098 0.500
Mn3 0.902 0.564 0.500
Ga1 0.000 0.000 0.500
Ga2 0.667 0.333 0.000
Ge1 0.333 0.667 0.500